For Li2Fe5Si5O16, the GGA+U geometry in Alexandria gives the simulated powder diffraction line list in this record (a wavelength of 1.5418 Å).
No peak broadening, texture or thermal motion is included.

Unit cell a=5.161 b=7.072 c=10.238 alpha=90.48 beta=90.79 gamma=90.63
Element x y z (fractional)
1 Li 0.000 0.000 0.000
2 Li 0.471 0.538 0.794
3 Fe 0.107 0.502 0.488
4 Fe 0.125 0.002 0.464
5 Fe 0.598 0.524 0.289
6 Fe 0.600 0.023 0.277
7 Fe 0.994 0.505 0.972
8 Si 0.061 0.233 0.726
9 Si 0.103 0.266 0.221
10 Si 0.482 0.746 0.031
11 Si 0.554 0.992 0.799
12 Si 0.631 0.773 0.544
13 O 0.037 0.259 0.066
14 O 0.088 0.243 0.567
15 O 0.123 0.438 0.787
16 O 0.173 0.759 0.003
17 O 0.258 0.069 0.785
18 O 0.418 0.272 0.259
19 O 0.496 0.577 0.490
20 O 0.513 0.957 0.470
21 O 0.566 0.770 0.186
22 O 0.576 0.799 0.705
23 O 0.606 0.557 0.968
24 O 0.618 0.934 0.951
25 O 0.765 0.156 0.761
26 O 0.943 0.760 0.518
27 O 0.980 0.451 0.298
28 O 0.991 0.066 0.284

Most intense lines, 10° ≤ 2θ ≤ 90°, sorted by position:
21.20 deg, I = 37.8
21.39 deg, I = 100.0
21.52 deg, I = 38.6
24.32 deg, I = 25.1
25.19 deg, I = 26.2
30.86 deg, I = 35.4
34.77 deg, I = 69.1
35.06 deg, I = 62.5
35.30 deg, I = 53.7
51.72 deg, I = 25.0